Starting from a DFT-relaxed cell (PBE, Alexandria), the powder diffractogram of Y3MgN was simulated for Cu Ka.

Crystal structure
abc: 8.9934 8.9934 6.1022
angles: 90.27 90.27 100.75
Sites, in units of the cell vectors:
Y (0.0698, 0.7020, 0.5829)
Y (0.1951, 0.5664, 0.0788)
Y (0.2980, 0.9302, 0.9171)
Y (0.3191, 0.4493, 0.5817)
Y (0.4336, 0.8049, 0.4212)
Y (0.4493, 0.3191, 0.0817)
Y (0.5507, 0.6809, 0.9183)
Y (0.5664, 0.1951, 0.5788)
Y (0.6809, 0.5507, 0.4183)
Y (0.7020, 0.0698, 0.0829)
Y (0.8049, 0.4336, 0.9212)
Y (0.9302, 0.2980, 0.4171)
Mg (0.0646, 0.1933, 0.9146)
Mg (0.1933, 0.0646, 0.4146)
Mg (0.8067, 0.9354, 0.5854)
Mg (0.9354, 0.8067, 0.0854)
N (0.3102, 0.6898, 0.7500)
N (0.4399, 0.5601, 0.2500)
N (0.5601, 0.4399, 0.7500)
N (0.6898, 0.3102, 0.2500)

Peak list (6 most intense, 15° ≤ 2θ ≤ 90°, sorted by position)
d 2.868, I = 71; d 2.702, I = 50; d 2.685, I = 49; d 2.671, I = 100; d 2.663, I = 100; d 1.754, I = 40

---

Starting from a DFT-relaxed cell (PBE, Alexandria), the powder diffractogram of Cs4HgBr2 was simulated for Cu Ka.

Crystal structure
abc: 10.7170 10.7170 10.7170
angles: 141.81 141.81 55.11
Sites, in units of the cell vectors:
Cs (0.0000, 0.5000, 0.5000)
Cs (0.2134, 0.2134, 0.0000)
Cs (0.5000, 0.0000, 0.5000)
Cs (0.7866, 0.7866, 0.0000)
Hg (0.0000, 0.0000, 0.0000)
Br (0.3931, 0.3931, 0.0000)
Br (0.6069, 0.6069, 0.0000)

Peak list (6 most intense, 15° ≤ 2θ ≤ 90°, sorted by position)
d 4.958, I = 39; d 3.506, I = 100; d 3.341, I = 81; d 2.821, I = 32; d 2.479, I = 39; d 2.419, I = 67

---

Starting from a DFT-relaxed cell (PBE, Alexandria), the powder diffractogram of K2In7Ge was simulated for Cu Ka.

Crystal structure
abc: 4.8950 4.8950 12.7125
angles: 90.00 90.00 90.00
Sites, in units of the cell vectors:
K (0.0000, 0.5000, 0.2429)
K (0.5000, 0.0000, 0.7571)
In (0.0000, 0.0000, 0.0000)
In (0.0000, 0.0000, 0.5000)
In (0.0000, 0.5000, 0.6412)
In (0.0000, 0.5000, 0.8693)
In (0.5000, 0.0000, 0.1307)
In (0.5000, 0.0000, 0.3588)
In (0.5000, 0.5000, 0.5000)
Ge (0.5000, 0.5000, 0.0000)

Peak list (6 most intense, 15° ≤ 2θ ≤ 90°, sorted by position)
d 4.568, I = 61; d 3.204, I = 40; d 3.040, I = 100; d 2.447, I = 79; d 2.341, I = 93; d 1.392, I = 34

---

Starting from a DFT-relaxed cell (PBE, Alexandria), the powder diffractogram of Tb2BeZnRh2 was simulated for Cu Ka.

Crystal structure
abc: 7.8863 7.8863 7.8863
angles: 137.07 61.46 138.21
Sites, in units of the cell vectors:
Tb (0.1683, 0.2295, 0.3978)
Tb (0.3317, 0.7295, 0.0611)
Tb (0.6683, 0.2705, 0.9389)
Tb (0.8317, 0.7705, 0.6022)
Be (0.2500, 0.7500, 0.5000)
Be (0.7500, 0.2500, 0.5000)
Zn (0.2500, 0.2500, 0.0000)
Zn (0.7500, 0.7500, 0.0000)
Rh (0.1096, 0.7047, 0.8143)
Rh (0.3904, 0.2047, 0.5950)
Rh (0.6096, 0.7953, 0.4050)
Rh (0.8904, 0.2953, 0.1857)

Peak list (6 most intense, 15° ≤ 2θ ≤ 90°, sorted by position)
d 2.886, I = 38; d 2.813, I = 43; d 2.594, I = 100; d 2.197, I = 31; d 2.165, I = 36; d 2.014, I = 52

---

Starting from a DFT-relaxed cell (PBE, Alexandria), the powder diffractogram of CsAc2PbS4 was simulated for Cu Ka.

Crystal structure
abc: 7.9315 7.9315 16.0464
angles: 90.00 90.00 147.70
Sites, in units of the cell vectors:
Cs (0.1319, 0.8681, 0.7500)
Cs (0.8681, 0.1319, 0.2500)
Ac (0.3694, 0.6306, 0.5563)
Ac (0.3694, 0.6306, 0.9437)
Ac (0.6306, 0.3694, 0.0563)
Ac (0.6306, 0.3694, 0.4437)
Pb (0.1387, 0.8613, 0.2500)
Pb (0.8613, 0.1387, 0.7500)
S (0.0000, 0.0000, 0.0000)
S (0.0000, 0.0000, 0.5000)
S (0.2622, 0.7378, 0.0938)
S (0.2622, 0.7378, 0.4062)
S (0.4610, 0.5390, 0.7500)
S (0.5390, 0.4610, 0.2500)
S (0.7378, 0.2622, 0.5938)
S (0.7378, 0.2622, 0.9062)

Peak list (6 most intense, 15° ≤ 2θ ≤ 90°, sorted by position)
d 4.378, I = 27; d 3.809, I = 47; d 3.748, I = 64; d 3.076, I = 100; d 2.958, I = 33; d 2.270, I = 28

---

Starting from a DFT-relaxed cell (PBE, Alexandria), the powder diffractogram of Rb2I7O was simulated for Cu Ka.

Crystal structure
abc: 8.1465 8.1465 8.1465
angles: 116.36 116.36 96.44
Sites, in units of the cell vectors:
Rb (0.2500, 0.7500, 0.5000)
Rb (0.7500, 0.2500, 0.5000)
I (0.0000, 0.0000, 0.0000)
I (0.2478, 0.2478, 0.4956)
I (0.2478, 0.7522, 0.0000)
I (0.2938, 0.2938, 0.0000)
I (0.7062, 0.7062, 0.0000)
I (0.7522, 0.2478, 0.0000)
I (0.7522, 0.7522, 0.5044)
O (0.5000, 0.5000, 0.0000)

Peak list (6 most intense, 15° ≤ 2θ ≤ 90°, sorted by position)
d 3.368, I = 100; d 3.037, I = 78; d 2.714, I = 27; d 2.148, I = 29; d 2.024, I = 38; d 1.811, I = 35

---

Starting from a DFT-relaxed cell (PBE, Alexandria), the powder diffractogram of AcScSbO6 was simulated for Cu Ka.

Crystal structure
abc: 5.4922 5.4922 5.2885
angles: 90.00 90.00 120.00
Sites, in units of the cell vectors:
Ac (0.0000, 0.0000, 0.0000)
Sc (0.3333, 0.6667, 0.5000)
Sb (0.6667, 0.3333, 0.5000)
O (0.3772, 0.0156, 0.7113)
O (0.3772, 0.3616, 0.2887)
O (0.6384, 0.0156, 0.2887)
O (0.6384, 0.6228, 0.7113)
O (0.9844, 0.3616, 0.7113)
O (0.9844, 0.6228, 0.2887)

Peak list (6 most intense, 15° ≤ 2θ ≤ 90°, sorted by position)
d 4.756, I = 20; d 3.536, I = 100; d 2.746, I = 30; d 2.169, I = 25; d 1.905, I = 33; d 1.702, I = 25

---

Starting from a DFT-relaxed cell (PBE, Alexandria), the powder diffractogram of PmZnPtAu was simulated for Cu Ka.

Crystal structure
abc: 4.5035 4.5035 5.3998
angles: 114.66 114.66 60.17
Sites, in units of the cell vectors:
Pm (0.0000, 0.0000, 0.0000)
Zn (0.5198, 0.5198, 0.5598)
Pt (0.2154, 0.2154, 0.6470)
Au (0.7835, 0.7835, 0.3517)

Peak list (6 most intense, 15° ≤ 2θ ≤ 90°, sorted by position)
d 3.764, I = 30; d 2.625, I = 100; d 2.296, I = 59; d 2.257, I = 37; d 2.252, I = 74; d 1.608, I = 20

---

Starting from a DFT-relaxed cell (PBE, Alexandria), the powder diffractogram of AcSmZnCu was simulated for Cu Ka.

Crystal structure
abc: 3.7297 3.7297 7.4444
angles: 90.00 90.00 90.00
Sites, in units of the cell vectors:
Ac (0.0000, 0.0000, 0.0000)
Sm (0.0000, 0.0000, 0.5126)
Zn (0.5000, 0.5000, 0.2845)
Cu (0.5000, 0.5000, 0.7185)

Peak list (6 most intense, 15° ≤ 2θ ≤ 90°, sorted by position)
d 3.727, I = 26; d 2.636, I = 100; d 1.865, I = 12; d 1.667, I = 13; d 1.522, I = 35; d 1.179, I = 11

---

Starting from a DFT-relaxed cell (PBE, Alexandria), the powder diffractogram of Cs3PtF8 was simulated for Cu Ka.

Crystal structure
abc: 8.8734 8.8734 7.7749
angles: 90.00 90.00 120.00
Sites, in units of the cell vectors:
Cs (0.1580, 0.3160, 0.0000)
Cs (0.1580, 0.8420, 0.0000)
Cs (0.3160, 0.1580, 0.5000)
Cs (0.6840, 0.8420, 0.0000)
Cs (0.8420, 0.1580, 0.5000)
Cs (0.8420, 0.6840, 0.5000)
Pt (0.3333, 0.6667, 0.4658)
Pt (0.6667, 0.3333, 0.9658)
F (0.0000, 0.0000, 0.2562)
F (0.0000, 0.0000, 0.7562)
F (0.1238, 0.5619, 0.3239)
F (0.2272, 0.4545, 0.6046)
F (0.2272, 0.7728, 0.6046)
F (0.3333, 0.6667, 0.9573)
F (0.4381, 0.5619, 0.3239)
F (0.4381, 0.8762, 0.3239)
F (0.4545, 0.2272, 0.1046)
F (0.5455, 0.7728, 0.6046)
F (0.5619, 0.1238, 0.8239)
F (0.5619, 0.4381, 0.8239)
F (0.6667, 0.3333, 0.4573)
F (0.7728, 0.2272, 0.1046)
F (0.7728, 0.5455, 0.1046)
F (0.8762, 0.4381, 0.8239)

Peak list (6 most intense, 15° ≤ 2θ ≤ 90°, sorted by position)
d 3.887, I = 31; d 3.445, I = 100; d 2.733, I = 27; d 2.218, I = 24; d 2.149, I = 27; d 1.927, I = 28

---

Starting from a DFT-relaxed cell (PBE, Alexandria), the powder diffractogram of Pr2Nd3Dy5 was simulated for Cu Ka.

Crystal structure
abc: 9.8831 9.8831 9.3167
angles: 108.27 108.27 114.12
Sites, in units of the cell vectors:
Pr (0.0245, 0.2677, 0.0439)
Pr (0.2677, 0.0245, 0.5439)
Pr (0.7323, 0.9755, 0.4561)
Pr (0.9755, 0.7323, 0.9561)
Nd (0.2280, 0.4749, 0.4547)
Nd (0.2714, 0.7286, 0.2500)
Nd (0.4749, 0.2280, 0.9547)
Nd (0.5251, 0.7720, 0.0453)
Nd (0.7286, 0.2714, 0.7500)
Nd (0.7720, 0.5251, 0.5453)
Dy (0.0279, 0.9721, 0.7500)
Dy (0.1355, 0.3676, 0.7492)
Dy (0.2267, 0.7733, 0.7500)
Dy (0.3676, 0.1355, 0.2492)
Dy (0.4730, 0.5270, 0.2500)
Dy (0.5270, 0.4730, 0.7500)
Dy (0.6324, 0.8645, 0.7508)
Dy (0.7733, 0.2267, 0.2500)
Dy (0.8645, 0.6324, 0.2508)
Dy (0.9721, 0.0279, 0.2500)

Peak list (6 most intense, 15° ≤ 2θ ≤ 90°, sorted by position)
d 3.015, I = 100; d 2.909, I = 95; d 2.687, I = 44; d 1.869, I = 31; d 1.535, I = 21; d 1.463, I = 26

---

Starting from a DFT-relaxed cell (PBE, Alexandria), the powder diffractogram of TbY6Co2 was simulated for Cu Ka.

Crystal structure
abc: 8.5648 8.5648 8.5648
angles: 112.20 108.65 107.59
Sites, in units of the cell vectors:
Tb (0.0000, 0.0000, 0.0000)
Tb (0.5000, 0.5000, 0.0000)
Y (0.0286, 0.2416, 0.7870)
Y (0.1850, 0.2885, 0.4736)
Y (0.1850, 0.7115, 0.8965)
Y (0.3193, 0.0027, 0.6835)
Y (0.3193, 0.6358, 0.3165)
Y (0.4546, 0.2416, 0.2130)
Y (0.5454, 0.7584, 0.7870)
Y (0.6807, 0.3642, 0.6835)
Y (0.6807, 0.9973, 0.3165)
Y (0.8150, 0.2885, 0.1035)
Y (0.8150, 0.7115, 0.5264)
Y (0.9714, 0.7584, 0.2130)
Co (0.1123, 0.6123, 0.5000)
Co (0.2987, 0.0000, 0.2987)
Co (0.7013, 0.0000, 0.7013)
Co (0.8877, 0.3877, 0.5000)

Peak list (6 most intense, 15° ≤ 2θ ≤ 90°, sorted by position)
d 3.034, I = 33; d 2.851, I = 100; d 2.670, I = 62; d 2.637, I = 32; d 2.595, I = 25; d 1.575, I = 25